Entry 1:
The following is a theoretical PXRD pattern of Mg5Pt. It was derived from a structure optimized by DFT (PBE), using Cu Kα, 1.54184 Å.

The 6 most intense peaks (10 to 80 degrees two-theta), in order of rising 2θ:
- 16.64°, I = 58, hkl 0 0 2
- 26.44°, I = 34, hkl 1 0 0
- 27.75°, I = 58, hkl 1 0 1
- 36.75°, I = 100, hkl 1 0 3
- 37.73°, I = 51, hkl 1 1 0
- 67.49°, I = 40, hkl 2 1 3

Structure:
```
data_Mg5Pt
_chemical_formula_sum 'Mg5 Pt1'
_space_group_name_H-M_alt 'P 4/m m m'
_space_group_IT_number 123
_space_group_name_Hall '-P 4 2'
_cell_length_a 3.3716
_cell_length_b 3.3716
_cell_length_c 10.6547
_cell_angle_alpha 90.00
_cell_angle_beta 90.00
_cell_angle_gamma 90.00
loop_
_atom_site_label
_atom_site_type_symbol
_atom_site_fract_x
_atom_site_fract_y
_atom_site_fract_z
Mg1 Mg 0.0000 0.0000 0.0000
Mg2 Mg 0.0000 0.0000 0.3688
Mg3 Mg 0.5000 0.5000 0.1875
Pt1 Pt 0.5000 0.5000 0.5000
```


Entry 2:
The following is a theoretical PXRD pattern of Nd3Zn6Ag5. It was derived from a structure optimized by DFT (PBE), using Cu Kα, 1.54184 Å.

The 6 most intense peaks (10 to 80 degrees two-theta), in order of rising 2θ:
- 28.18°, I = 46, hkl 1 0 3
- 34.06°, I = 63, hkl 1 2 3
- 34.76°, I = 100, hkl 1 3 0
- 37.31°, I = 34, hkl 1 3 2
- 40.13°, I = 47, hkl 2 0 0
- 66.16°, I = 30, hkl 1 4 7

Structure:
```
data_Nd3Zn6Ag5
_chemical_formula_sum 'Nd6 Zn12 Ag10'
_space_group_name_H-M_alt 'I m m m'
_space_group_IT_number 71
_space_group_name_Hall '-I 2 2'
_cell_length_a 4.4940
_cell_length_b 9.4707
_cell_length_c 13.3852
_cell_angle_alpha 90.00
_cell_angle_beta 90.00
_cell_angle_gamma 90.00
loop_
_atom_site_label
_atom_site_type_symbol
_atom_site_fract_x
_atom_site_fract_y
_atom_site_fract_z
Nd1 Nd 0.0000 0.0000 0.0000
Nd2 Nd 0.0000 0.0000 0.2989
Zn1 Zn 0.0000 0.1875 0.5000
Zn2 Zn 0.0000 0.2883 0.1300
Ag1 Ag 0.0000 0.3520 0.3358
Ag2 Ag 0.0000 0.5000 0.0000
```


Entry 3:
The following is a theoretical PXRD pattern of Li2Nd2Tl3. It was derived from a structure optimized by DFT (PBE), using Cu Kα, 1.54184 Å.

The 6 most intense peaks (10 to 80 degrees two-theta), in order of rising 2θ:
- 28.61°, I = 77, hkl 1 5 0
- 32.78°, I = 100, hkl 0 6 1
- 33.25°, I = 50, hkl 1 7 0
- 34.66°, I = 92, hkl 1 1 1
- 52.08°, I = 31, hkl 1 11 1
- 58.30°, I = 39, hkl 2 6 1

Structure:
```
data_Li2Nd2Tl3
_chemical_formula_sum 'Li4 Nd4 Tl6'
_space_group_name_H-M_alt 'C m m m'
_space_group_IT_number 65
_space_group_name_Hall '-C 2 2'
_cell_length_a 3.8837
_cell_length_b 26.1909
_cell_length_c 3.5023
_cell_angle_alpha 90.00
_cell_angle_beta 90.00
_cell_angle_gamma 90.00
loop_
_atom_site_label
_atom_site_type_symbol
_atom_site_fract_x
_atom_site_fract_y
_atom_site_fract_z
Li1 Li 0.0000 0.2157 0.0000
Nd1 Nd 0.0000 0.0824 0.0000
Tl1 Tl 0.0000 0.3316 0.5000
Tl2 Tl 0.0000 0.5000 0.5000
```


Entry 4:
The following is a theoretical PXRD pattern of PmHg6. It was derived from a structure optimized by DFT (PBE), using Cu Kα, 1.54184 Å.

The 6 most intense peaks (10 to 80 degrees two-theta), in order of rising 2θ:
- 21.40°, I = 13, hkl 1 0 1
- 35.13°, I = 100, hkl 1 1 2
- 35.63°, I = 52, hkl 2 0 0
- 51.28°, I = 19, hkl 2 2 0
- 62.70°, I = 15, hkl 2 0 4
- 63.68°, I = 36, hkl 3 1 2

Structure:
```
data_PmHg6
_chemical_formula_sum 'Pm1 Hg6'
_space_group_name_H-M_alt 'P 4/m m m'
_space_group_IT_number 123
_space_group_name_Hall '-P 4 2'
_cell_length_a 5.0395
_cell_length_b 5.0395
_cell_length_c 7.3274
_cell_angle_alpha 90.00
_cell_angle_beta 90.00
_cell_angle_gamma 90.00
loop_
_atom_site_label
_atom_site_type_symbol
_atom_site_fract_x
_atom_site_fract_y
_atom_site_fract_z
Pm1 Pm 0.0000 0.0000 0.0000
Hg1 Hg 0.0000 0.0000 0.5000
Hg2 Hg 0.0000 0.5000 0.2768
Hg3 Hg 0.5000 0.5000 0.0000
```


Entry 5:
The following is a theoretical PXRD pattern of SmNpCu2O8. It was derived from a structure optimized by DFT (PBE), using Cu Kα, 1.54184 Å.

The 6 most intense peaks (10 to 80 degrees two-theta), in order of rising 2θ:
- 18.35°, I = 62, hkl 1 0 1
- 25.98°, I = 100, hkl 2 0 0
- 32.11°, I = 90, hkl 1 1 2
- 37.07°, I = 25, hkl 2 2 0
- 49.83°, I = 78, hkl 3 1 2
- 63.71°, I = 19, hkl 3 3 2

Structure:
```
data_SmNpCu2O8
_chemical_formula_sum 'Sm2 Np2 Cu4 O16'
_space_group_name_H-M_alt 'I -4 m 2'
_space_group_IT_number 119
_space_group_name_Hall 'I -4 -2'
_cell_length_a 6.8596
_cell_length_b 6.8596
_cell_length_c 6.8126
_cell_angle_alpha 90.00
_cell_angle_beta 90.00
_cell_angle_gamma 90.00
loop_
_atom_site_label
_atom_site_type_symbol
_atom_site_fract_x
_atom_site_fract_y
_atom_site_fract_z
Sm1 Sm 0.0000 0.0000 0.0000
Np1 Np 0.0000 0.5000 0.2500
Cu1 Cu 0.0000 0.0000 0.5000
Cu2 Cu 0.0000 0.5000 0.7500
O1 O 0.0000 0.2052 0.3025
O2 O 0.0000 0.3316 0.9554
```


Entry 6:
The following is a theoretical PXRD pattern of ThAl2Au5. It was derived from a structure optimized by DFT (PBE), using Cu Kα, 1.54184 Å.

The 6 most intense peaks (10 to 80 degrees two-theta), in order of rising 2θ:
- 29.77°, I = 20, hkl 0 2 2
- 32.94°, I = 82, hkl 1 0 3
- 34.26°, I = 100, hkl 1 2 1
- 41.51°, I = 50, hkl 0 2 4
- 44.39°, I = 25, hkl 2 0 0
- 62.39°, I = 30, hkl 2 2 4

Structure:
```
data_ThAl2Au5
_chemical_formula_sum 'Th2 Al4 Au10'
_space_group_name_H-M_alt 'I m m m'
_space_group_IT_number 71
_space_group_name_Hall '-I 2 2'
_cell_length_a 4.0815
_cell_length_b 7.1815
_cell_length_c 10.9376
_cell_angle_alpha 90.00
_cell_angle_beta 90.00
_cell_angle_gamma 90.00
loop_
_atom_site_label
_atom_site_type_symbol
_atom_site_fract_x
_atom_site_fract_y
_atom_site_fract_z
Th1 Th 0.0000 0.0000 0.0000
Al1 Al 0.0000 0.5000 0.2383
Au1 Au 0.0000 0.2107 0.3640
Au2 Au 0.0000 0.5000 0.0000
```


Entry 7:
The following is a theoretical PXRD pattern of CuMoAuN. It was derived from a structure optimized by DFT (PBE), using Cu Kα, 1.54184 Å.

The 6 most intense peaks (10 to 80 degrees two-theta), in order of rising 2θ:
- 13.49°, I = 59, hkl 0 0 2
- 34.89°, I = 65, hkl 1 0 2
- 38.04°, I = 100, hkl 0 1 3
- 41.27°, I = 36, hkl 0 0 6
- 42.48°, I = 59, hkl 1 0 4
- 46.32°, I = 78, hkl 1 1 1

Structure:
```
data_CuMoAuN
_chemical_formula_sum 'Cu2 Mo2 Au2 N2'
_space_group_name_H-M_alt 'A m m 2'
_space_group_IT_number 38
_cell_length_a 2.7950
_cell_length_b 2.8117
_cell_length_c 13.1264
_cell_angle_alpha 90.00
_cell_angle_beta 90.00
_cell_angle_gamma 90.00
loop_
_space_group_symop_operation_xyz
'x,y,z'
'-x,-y,z'
'-x,y,z'
'x,-y,z'
'x,y+1/2,z+1/2'
'-x,-y+1/2,z+1/2'
'-x,y+1/2,z+1/2'
'x,-y+1/2,z+1/2'
loop_
_atom_site_label
_atom_site_type_symbol
_atom_site_fract_x
_atom_site_fract_y
_atom_site_fract_z
Cu1 Cu 0.0000 0.0000 0.0000
Mo1 Mo 0.0000 0.0000 0.3140
Au1 Au 0.5000 0.0000 0.6452
N1 N 0.5000 0.0000 0.8759
```


Entry 8:
The following is a theoretical PXRD pattern of BeTl2Au6. It was derived from a structure optimized by DFT (PBE), using Cu Kα, 1.54184 Å.

The 6 most intense peaks (10 to 80 degrees two-theta), in order of rising 2θ:
- 32.95°, I = 100, hkl 2 0 2
- 37.96°, I = 14, hkl 0 1 5
- 40.42°, I = 14, hkl 2 1 1
- 41.11°, I = 48, hkl 0 2 4
- 42.01°, I = 13, hkl 0 0 6
- 52.91°, I = 23, hkl 2 2 0

Structure:
```
data_BeTl2Au6
_chemical_formula_sum 'Be3 Tl6 Au18'
_space_group_name_H-M_alt 'R -3 m'
_space_group_IT_number 166
_space_group_name_Hall '-R 3 2"'
_cell_length_a 6.9218
_cell_length_b 6.9218
_cell_length_c 12.9037
_cell_angle_alpha 90.00
_cell_angle_beta 90.00
_cell_angle_gamma 120.00
loop_
_atom_site_label
_atom_site_type_symbol
_atom_site_fract_x
_atom_site_fract_y
_atom_site_fract_z
Be1 Be 0.0000 0.0000 0.0000
Tl1 Tl 0.0000 0.0000 0.2207
Au1 Au 0.0434 0.5217 0.2604
```


Entry 9:
The following is a theoretical PXRD pattern of Mn3Zn3Co2. It was derived from a structure optimized by DFT (PBE), using Cu Kα, 1.54184 Å.

The 6 most intense peaks (10 to 80 degrees two-theta), in order of rising 2θ:
- 41.69°, I = 100, hkl 2 1 0
- 42.71°, I = 92, hkl 1 1 1
- 45.69°, I = 53, hkl 2 0 1
- 47.59°, I = 23, hkl 3 0 0
- 53.84°, I = 26, hkl 2 1 1
- 68.10°, I = 26, hkl 0 0 2

Structure:
```
data_Mn3Zn3Co2
_chemical_formula_sum 'Mn3 Zn3 Co2'
_space_group_name_H-M_alt 'P -6 2 m'
_space_group_IT_number 189
_space_group_name_Hall 'P -6 -2'
_cell_length_a 6.6185
_cell_length_b 6.6185
_cell_length_c 2.7541
_cell_angle_alpha 90.00
_cell_angle_beta 90.00
_cell_angle_gamma 120.00
loop_
_atom_site_label
_atom_site_type_symbol
_atom_site_fract_x
_atom_site_fract_y
_atom_site_fract_z
Mn1 Mn 0.0000 0.5910 0.0000
Zn1 Zn 0.0000 0.2371 0.5000
Co1 Co 0.3333 0.6667 0.5000
```


Entry 10:
The following is a theoretical PXRD pattern of PrTlRh. It was derived from a structure optimized by DFT (PBE), using Cu Kα, 1.54184 Å.

The 6 most intense peaks (10 to 80 degrees two-theta), in order of rising 2θ:
- 31.72°, I = 25, hkl 0 1 2
- 31.96°, I = 100, hkl 3 1 1
- 32.42°, I = 39, hkl 1 1 2
- 34.44°, I = 61, hkl 1 0 3
- 34.77°, I = 69, hkl 4 1 0
- 45.37°, I = 35, hkl 0 2 0

Structure:
```
data_PrTlRh
_chemical_formula_sum 'Pr6 Tl6 Rh6'
_space_group_name_H-M_alt 'P m m a'
_space_group_IT_number 51
_cell_length_a 13.5274
_cell_length_b 3.9978
_cell_length_c 7.9640
_cell_angle_alpha 90.00
_cell_angle_beta 90.00
_cell_angle_gamma 90.00
loop_
_space_group_symop_operation_xyz
'x,y,z'
'-x,-y,-z'
'-x+1/2,-y,z'
'x+1/2,y,-z'
'x+1/2,-y,-z'
'-x+1/2,y,z'
'-x,y,-z'
'x,-y,z'
loop_
_atom_site_label
_atom_site_type_symbol
_atom_site_fract_x
_atom_site_fract_y
_atom_site_fract_z
Pr1 Pr 0.0464 0.0000 0.2262
Pr2 Pr 0.2500 0.0000 0.8492
Tl1 Tl 0.1187 0.5000 0.5730
Tl2 Tl 0.2500 0.5000 0.1923
Rh1 Rh 0.0958 0.5000 0.9403
Rh2 Rh 0.2500 0.0000 0.4449
```


Entry 11:
The following is a theoretical PXRD pattern of AcTb8Ho4. It was derived from a structure optimized by DFT (PBE), using Cu Kα, 1.54184 Å.

The 6 most intense peaks (10 to 80 degrees two-theta), in order of rising 2θ:
- 30.72°, I = 84, hkl 2 0 -4
- 31.10°, I = 100, hkl 2 2 -1
- 31.31°, I = 36, hkl 2 2 0
- 32.16°, I = 45, hkl 2 0 3
- 33.95°, I = 79, hkl 0 2 3
- 35.38°, I = 33, hkl 4 0 -1

Structure:
```
data_AcTb8Ho4
_chemical_formula_sum 'Ac2 Tb16 Ho8'
_space_group_name_H-M_alt 'C 1 2/m 1'
_space_group_IT_number 12
_cell_length_a 10.1585
_cell_length_b 7.0206
_cell_length_c 12.4236
_cell_angle_alpha 90.00
_cell_angle_beta 104.54
_cell_angle_gamma 90.00
loop_
_space_group_symop_operation_xyz
'x,y,z'
'-x,-y,-z'
'-x,y,-z'
'x,-y,z'
'x+1/2,y+1/2,z'
'-x+1/2,-y+1/2,-z'
'-x+1/2,y+1/2,-z'
'x+1/2,-y+1/2,z'
loop_
_atom_site_label
_atom_site_type_symbol
_atom_site_fract_x
_atom_site_fract_y
_atom_site_fract_z
Ac1 Ac 0.0000 0.0000 0.0000
Tb1 Tb 0.0894 0.2643 0.7869
Tb2 Tb 0.1504 0.5000 0.0652
Tb3 Tb 0.1920 0.0000 0.3463
Ho1 Ho 0.0000 0.2574 0.5000
Ho2 Ho 0.2169 0.5000 0.3583
```


Entry 12:
The following is a theoretical PXRD pattern of Cs4Pm3InTe8. It was derived from a structure optimized by DFT (PBE), using Cu Kα, 1.54184 Å.

The 6 most intense peaks (10 to 80 degrees two-theta), in order of rising 2θ:
- 25.90°, I = 100, hkl 0 2 4
- 34.89°, I = 32, hkl 2 0 8
- 38.93°, I = 38, hkl 2 2 0
- 47.36°, I = 19, hkl 4 0 4
- 57.32°, I = 9, hkl 2 2 12
- 62.91°, I = 16, hkl 2 4 4

Structure:
```
data_Cs4Pm3InTe8
_chemical_formula_sum 'Cs12 Pm9 In3 Te24'
_space_group_name_H-M_alt 'R -3 m'
_space_group_IT_number 166
_space_group_name_Hall '-R 3 2"'
_cell_length_a 9.2536
_cell_length_b 9.2536
_cell_length_c 26.8300
_cell_angle_alpha 90.00
_cell_angle_beta 90.00
_cell_angle_gamma 120.00
loop_
_atom_site_label
_atom_site_type_symbol
_atom_site_fract_x
_atom_site_fract_y
_atom_site_fract_z
Cs1 Cs 0.0000 0.0000 0.0000
Cs2 Cs 0.0000 0.5000 0.0000
Pm1 Pm 0.0000 0.5000 0.5000
In1 In 0.0000 0.0000 0.5000
Te1 Te 0.0000 0.0000 0.2316
Te2 Te 0.0084 0.5042 0.2299
```


Which formula does entry 4 have? PmHg6